Record 1
The following is a simulated PXRD pattern of Ta6Re5W. It was derived from a crystal structure in Alexandria, relaxed with GGA-PBE, using a wavelength of 1.5418 Å.

Main lines, low angle first (2θ = 10–80°):
39.7°, I 100; 57.4°, I 12; 57.6°, I 6; 72.1°, I 24; 72.2°, I 12

Crystal structure
```
Ta6Re5W
1.0
2.271 -6.809 0.000
2.271 6.809 0.000
0.000 0.000 6.404
Ta Re W
6 5 1
Direct
0.000 0.000 0.250
0.000 0.000 0.750
0.333 0.667 0.250
0.333 0.667 0.750
0.667 0.333 0.250
0.667 0.333 0.750
0.167 0.833 0.000
0.167 0.833 0.500
0.500 0.500 0.000
0.833 0.167 0.000
0.833 0.167 0.500
0.500 0.500 0.500
```

=====

Record 2
The following is a simulated PXRD pattern of LiGa2Au8. It was derived from a crystal structure in Alexandria, relaxed with GGA-PBE, using a wavelength of 1.5418 Å.

Main lines, low angle first (2θ = 10–80°):
25.6°, I 12; 37.1°, I 100; 38.6°, I 96; 42.2°, I 29; 44.2°, I 35; 45.6°, I 26; 62.7°, I 18; 65.4°, I 18; 76.6°, I 15; 77.6°, I 13

Crystal structure
```
LiGa2Au8
1.0
7.552 -2.049 0.000
7.552 2.049 0.000
-2.311 0.000 6.218
Li Ga Au
1 2 8
Direct
0.000 0.000 0.000
0.292 0.292 0.338
0.708 0.708 0.662
0.094 0.094 0.458
0.174 0.174 0.933
0.347 0.347 0.774
0.462 0.462 0.249
0.538 0.538 0.751
0.653 0.653 0.226
0.826 0.826 0.067
0.906 0.906 0.542
```

=====

Record 3
The following is a simulated PXRD pattern of Cs2NiPdS4. It was derived from a crystal structure in Alexandria, relaxed with GGA-PBE, using a wavelength of 1.5418 Å.

Main lines, low angle first (2θ = 10–80°):
14.8°, I 31; 25.0°, I 37; 25.8°, I 100; 27.1°, I 44; 31.1°, I 46; 33.6°, I 33; 38.5°, I 33; 45.4°, I 23; 46.9°, I 26; 50.6°, I 22

Crystal structure
```
Cs2NiPdS4
1.0
0.000 6.920 11.956
2.888 0.000 11.956
2.888 6.920 0.000
Cs Ni Pd S
4 2 2 8
Direct
0.054 0.054 0.696
0.304 0.304 0.946
0.696 0.696 0.054
0.946 0.946 0.304
0.375 0.375 0.375
0.625 0.625 0.625
0.125 0.125 0.125
0.875 0.875 0.875
0.008 0.639 0.569
0.285 0.569 0.639
0.361 0.992 0.715
0.431 0.715 0.992
0.569 0.285 0.008
0.639 0.008 0.285
0.715 0.431 0.361
0.992 0.361 0.431
```